For SiNi2, DFT lattice parameters and positions (PBE) gives the simulated XRD peak list in this record (copper Kα).
Intensities are scaled so that the largest is 100.

Peak list (6 most intense, 10° ≤ 2θ ≤ 90°, by angle)
- 2θ 39.49, I = 24, hkl 1 1 2
- 2θ 42.44, I = 17, hkl 1 0 3
- 2θ 43.68, I = 39, hkl 2 1 0
- 2θ 44.49, I = 21, hkl 2 0 2
- 2θ 45.57, I = 100, hkl 0 1 3
- 2θ 48.78, I = 34, hkl 0 2 0

Structure:
```
data_SiNi2
_chemical_formula_sum 'Si4 Ni8'
_cell_length_a 4.9830
_cell_length_b 3.7340
_cell_length_c 7.0680
_cell_angle_alpha 90.00
_cell_angle_beta 90.00
_cell_angle_gamma 90.00
_space_group_name_H-M_alt 'P n m a'
_space_group_IT_number 62
_space_group_name_Hall '-P 2ac 2n'
loop_
_atom_site_label
_atom_site_type_symbol
_atom_site_fract_x
_atom_site_fract_y
_atom_site_fract_z
_atom_site_occupancy
Si1 Si 0.2108 0.2500 0.1143 1
Ni1 Ni 0.0418 0.2500 0.7948 1
Ni2 Ni 0.1705 0.2500 0.4400 1
```

=====

For Si2Ni, DFT lattice parameters and positions (PBE) gives the simulated XRD peak list in this record (copper Kα).
Intensities are scaled so that the largest is 100.

Peak list (6 most intense, 10° ≤ 2θ ≤ 90°, by angle)
- 2θ 28.39, I = 81, hkl 1 1 1
- 2θ 47.21, I = 100, hkl 2 2 0
- 2θ 56.01, I = 33, hkl 3 1 1
- 2θ 68.98, I = 15, hkl 4 0 0
- 2θ 76.21, I = 12, hkl 3 3 1
- 2θ 87.82, I = 32, hkl 4 2 2

Structure:
```
data_Si2Ni
_chemical_formula_sum 'Si8 Ni4'
_cell_length_a 5.4456
_cell_length_b 5.4456
_cell_length_c 5.4456
_cell_angle_alpha 90.00
_cell_angle_beta 90.00
_cell_angle_gamma 90.00
_space_group_name_H-M_alt 'F m -3 m'
_space_group_IT_number 225
_space_group_name_Hall '-F 4 2 3'
loop_
_atom_site_label
_atom_site_type_symbol
_atom_site_fract_x
_atom_site_fract_y
_atom_site_fract_z
_atom_site_occupancy
Si1 Si 0.2500 0.2500 0.2500 1
Ni1 Ni 0.0000 0.0000 0.0000 1
```

=====

Please write out number 1 again, unchanged.
For SiNi2, DFT lattice parameters and positions (PBE) gives the simulated XRD peak list in this record (copper Kα).
Intensities are scaled so that the largest is 100.

Peak list (6 most intense, 10° ≤ 2θ ≤ 90°, by angle)
- 2θ 39.49, I = 24, hkl 1 1 2
- 2θ 42.44, I = 17, hkl 1 0 3
- 2θ 43.68, I = 39, hkl 2 1 0
- 2θ 44.49, I = 21, hkl 2 0 2
- 2θ 45.57, I = 100, hkl 0 1 3
- 2θ 48.78, I = 34, hkl 0 2 0

Structure:
```
data_SiNi2
_chemical_formula_sum 'Si4 Ni8'
_cell_length_a 4.9830
_cell_length_b 3.7340
_cell_length_c 7.0680
_cell_angle_alpha 90.00
_cell_angle_beta 90.00
_cell_angle_gamma 90.00
_space_group_name_H-M_alt 'P n m a'
_space_group_IT_number 62
_space_group_name_Hall '-P 2ac 2n'
loop_
_atom_site_label
_atom_site_type_symbol
_atom_site_fract_x
_atom_site_fract_y
_atom_site_fract_z
_atom_site_occupancy
Si1 Si 0.2108 0.2500 0.1143 1
Ni1 Ni 0.0418 0.2500 0.7948 1
Ni2 Ni 0.1705 0.2500 0.4400 1
```